No. 1
LiPmMnF6: theoretical X-ray powder pattern (Cu Kα (λ = 1.5418 Å)), based on a DFT-relaxed cell (PBE+U, Alexandria).
Intensities are scaled so that the largest is 100.

Largest 10 diffraction maxima, by angle, 2θ from 10° to 90°:
| hkl | 2theta | Rel. int. |
| --- | --- | --- |
| 1 0 1 | 20.84 | 100 |
| 1 0 2 | 26.67 | 73 |
| 1 1 0 | 32.35 | 28 |
| 1 0 3 | 34.37 | 35 |
| 1 1 2 | 37.80 | 31 |
| 2 0 1 | 38.80 | 29 |
| 2 0 2 | 42.40 | 21 |
| 1 1 4 | 51.22 | 45 |
| 3 -1 1 | 51.38 | 21 |
| 3 0 0 | 57.70 | 21 |

Atomic structure:
```
data_LiPmMnF6
_cell_length_a 5.5342
_cell_length_b 5.5342
_cell_length_c 9.3308
_cell_angle_alpha 90.00
_cell_angle_beta 90.00
_cell_angle_gamma 120.00
_symmetry_space_group_name_H-M 'P -3 1 c'
_symmetry_Int_Tables_number 163
_symmetry_space_group_name_Hall '-P 3 2c'
loop_
_atom_site_label
_atom_site_fract_x
_atom_site_fract_y
_atom_site_fract_z
Li1 0.3333 0.6667 0.2500
Pm1 0.3333 0.6667 0.7500
Mn1 0.0000 0.0000 0.0000
F1 0.0261 0.3392 0.1279
```


No. 2
RbLiMn2F8: theoretical X-ray powder pattern (Cu Kα (λ = 1.5418 Å)), based on a DFT-relaxed cell (PBE+U, Alexandria).
Intensities are scaled so that the largest is 100.

Largest 10 diffraction maxima, by angle, 2θ from 10° to 90°:
| hkl | 2theta | Rel. int. |
| --- | --- | --- |
| 0 0 1 | 12.81 | 18 |
| 1 0 1 | 23.10 | 100 |
| 0 1 2 | 32.30 | 18 |
| 1 1 0 | 33.48 | 38 |
| 1 1 1 | 35.98 | 14 |
| 0 2 1 | 41.07 | 30 |
| 2 -1 2 | 42.72 | 24 |
| 1 0 3 | 43.87 | 15 |
| 3 -1 1 | 53.98 | 20 |
| 3 0 0 | 59.85 | 18 |

Atomic structure:
```
data_RbLiMn2F8
_cell_length_a 5.3535
_cell_length_b 5.3535
_cell_length_c 6.9132
_cell_angle_alpha 90.00
_cell_angle_beta 90.00
_cell_angle_gamma 120.00
_symmetry_space_group_name_H-M 'P -3'
_symmetry_Int_Tables_number 147
loop_
_symmetry_equiv_pos_as_xyz
'x,y,z'
'-x,-y,-z'
'-y,x-y,z'
'y,-x+y,-z'
'-x+y,-x,z'
'x-y,x,-z'
loop_
_atom_site_label
_atom_site_fract_x
_atom_site_fract_y
_atom_site_fract_z
Rb1 0.0000 0.0000 0.0000
Li1 0.0000 0.0000 0.5000
Mn1 0.3333 0.6667 0.6023
F1 0.0518 0.6934 0.3680
F2 0.3333 0.6667 0.8646
```


No. 3
LiMnRhF6: theoretical X-ray powder pattern (Cu Kα (λ = 1.5418 Å)), based on a DFT-relaxed cell (PBE+U, Alexandria).
Intensities are scaled so that the largest is 100.

Largest 10 diffraction maxima, by angle, 2θ from 10° to 90°:
| hkl | 2theta | Rel. int. |
| --- | --- | --- |
| 0 0 2 | 18.50 | 30 |
| 1 0 1 | 20.62 | 86 |
| 1 1 0 | 26.14 | 100 |
| 1 1 2 | 32.21 | 27 |
| 1 0 3 | 33.63 | 50 |
| 1 1 3 | 38.60 | 22 |
| 2 1 1 | 43.00 | 22 |
| 2 1 3 | 51.09 | 69 |
| 2 2 0 | 53.78 | 21 |
| 3 0 3 | 64.95 | 27 |

Atomic structure:
```
data_LiMnRhF6
_cell_length_a 4.821
_cell_length_b 4.821
_cell_length_c 9.594
_cell_angle_alpha 90.00
_cell_angle_beta 90.00
_cell_angle_gamma 90.00
_symmetry_space_group_name_H-M 'P 42 n m'
_symmetry_Int_Tables_number 102
loop_
_symmetry_equiv_pos_as_xyz
'x,y,z'
'-y+1/2,x+1/2,z+1/2'
'-x,-y,z'
'y+1/2,-x+1/2,z+1/2'
'-x+1/2,y+1/2,z+1/2'
'y,x,z'
'x+1/2,-y+1/2,z+1/2'
'-y,-x,z'
loop_
_atom_site_label
_atom_site_fract_x
_atom_site_fract_y
_atom_site_fract_z
Li1 0.000 0.000 0.000
Mn1 0.000 0.000 0.330
Rh1 0.000 0.000 0.666
F1 0.189 0.189 0.828
F2 0.194 0.194 0.507
F3 0.204 0.204 0.163
```